CeTcC: calculated powder X-ray diffraction pattern (a wavelength of 1.5418 Å), based on a PBE-relaxed structure.

Structural model:
```
data_CeTcC
_space_group_name_H-M_alt 'R 3 m'
_space_group_IT_number 160
_space_group_name_Hall 'R 3 -2"'
_cell_length_a 3.5007
_cell_length_b 3.5007
_cell_length_c 13.8046
_cell_angle_alpha 90.00
_cell_angle_beta 90.00
_cell_angle_gamma 120.00
loop_
_atom_site_label
_atom_site_type_symbol
_atom_site_fract_x
_atom_site_fract_y
_atom_site_fract_z
Ce1 Ce 0.0000 0.0000 0.0000
Tc1 Tc 0.0000 0.0000 0.4969
C1 C 0.0000 0.0000 0.8005
```

Main lines, in order of falling intensity (10° ≤ 2θ ≤ 90°):
32.25°, rel. 100
39.57°, rel. 63
52.26°, rel. 29
67.20°, rel. 26
39.15°, rel. 22
61.87°, rel. 15
62.76°, rel. 15
67.49°, rel. 13
86.00°, rel. 12
75.70°, rel. 9
85.21°, rel. 6
30.18°, rel. 4